TiAg2F8: calculated PXRD pattern (a wavelength of 1.5418 Å), based on a PBE-relaxed structure.
Peak positions follow from Bragg's law for the DFT cell and can differ from measured ones.

Atomic structure:
abc: 6.6345 6.6345 4.2165
angles: 90.00 90.00 120.00
Space group P-3 (No. 147)
Symmetry-distinct sites (fractional):
Ti 0.0000 0.0000 0.0000
Ag 0.3333 0.6667 0.7590
F 0.1369 0.2760 0.7556
F 0.3333 0.6667 0.2582

Principal peaks in the range 2θ = 10–90°, low angle first:
Position (°2θ)	I/Imax
26.22	91
26.88	100
31.13	16
47.07	48
47.47	17
53.95	16
55.39	21
61.28	18

***

Tl2AgF6: calculated PXRD pattern (a wavelength of 1.5418 Å), based on a PBE-relaxed structure.
Peak positions follow from Bragg's law for the DFT cell and can differ from measured ones.

Atomic structure:
abc: 5.3859 5.3859 11.0686
angles: 90.00 90.00 90.00
Space group P4_2/mnm (No. 136)
Symmetry-distinct sites (fractional):
Tl 0.0000 0.0000 0.1663
Ag 0.0000 0.0000 0.5000
F 0.1874 0.1874 0.0000
F 0.2011 0.2011 0.3226

Principal peaks in the range 2θ = 10–90°, low angle first:
Position (°2θ)	I/Imax
23.36	100
29.34	91
33.27	26
44.94	75
47.76	18
53.83	18
55.34	19
57.05	23

***

Tl2Ag4F9: calculated PXRD pattern (a wavelength of 1.5418 Å), based on a PBE-relaxed structure.
Peak positions follow from Bragg's law for the DFT cell and can differ from measured ones.

Atomic structure:
abc: 6.1573 6.1573 15.9586
angles: 90.00 90.00 120.00
Space group P-3 (No. 147)
Symmetry-distinct sites (fractional):
Tl 0.0000 0.0000 0.1418
Tl 0.0000 0.0000 0.3585
Ag 0.3333 0.6667 0.0158
Ag 0.3333 0.6667 0.3095
Ag 0.3333 0.6667 0.5156
Ag 0.3333 0.6667 0.8094
F 0.0006 0.2724 0.2497
F 0.0263 0.6818 0.4161
F 0.0278 0.3440 0.9162

Principal peaks in the range 2θ = 10–90°, low angle first:
Position (°2θ)	I/Imax
16.63	21
20.03	21
27.93	100
29.00	94
40.70	42
45.04	42
50.75	43
51.41	31

***

TlAg3F7: calculated PXRD pattern (a wavelength of 1.5418 Å), based on a PBE-relaxed structure.
Peak positions follow from Bragg's law for the DFT cell and can differ from measured ones.

Atomic structure:
abc: 8.1976 7.7978 6.7443
angles: 90.00 125.87 90.00
Space group Cm (No. 8)
Symmetry-distinct sites (fractional):
Tl 0.0000 0.0000 0.0000
Ag 0.0103 0.2592 0.4704
Ag 0.0121 0.5000 0.9681
F 0.1214 0.2390 0.2310
F 0.1466 0.5000 0.7382
F 0.3171 0.0000 0.1120
F 0.4045 0.5000 0.2697
F 0.4264 0.2894 0.7338

Principal peaks in the range 2θ = 10–90°, low angle first:
Position (°2θ)	I/Imax
26.84	58
27.56	42
28.11	100
31.68	40
44.21	19
45.77	35
46.64	48
54.58	22

***

TlAg4F12: calculated PXRD pattern (a wavelength of 1.5418 Å), based on a PBE-relaxed structure.
Peak positions follow from Bragg's law for the DFT cell and can differ from measured ones.

Atomic structure:
abc: 12.4759 7.9557 8.8204
angles: 90.00 134.83 90.00
Space group C2/m (No. 12)
Symmetry-distinct sites (fractional):
Tl 0.0000 0.0000 0.0000
Ag 0.2500 0.2500 0.0000
Ag 0.2500 0.2500 0.5000
F 0.0280 0.1718 0.8153
F 0.1915 0.5000 0.9677
F 0.2130 0.1714 0.2408
F 0.2267 0.5000 0.4169

Principal peaks in the range 2θ = 10–90°, low angle first:
Position (°2θ)	I/Imax
14.18	52
14.99	80
20.10	43
25.17	35
28.58	56
30.24	100
40.96	39
51.64	39

***

TlAg7F12: calculated PXRD pattern (a wavelength of 1.5418 Å), based on a PBE-relaxed structure.
Peak positions follow from Bragg's law for the DFT cell and can differ from measured ones.

Atomic structure:
abc: 8.6553 8.6553 8.6553
angles: 90.00 90.00 90.00
Space group Im-3 (No. 204)
Symmetry-distinct sites (fractional):
Tl 0.0000 0.0000 0.0000
Ag 0.0000 0.0000 0.5000
Ag 0.2500 0.2500 0.2500
F 0.0000 0.3140 0.1745

Principal peaks in the range 2θ = 10–90°, low angle first:
Position (°2θ)	I/Imax
29.18	100
32.72	5
41.74	24
51.74	50
60.51	13
68.57	18
76.21	5
83.60	21